Starting from a structure optimized by DFT (GGA-PBE), the X-ray diffraction stick pattern of Li3AsO4 was simulated for Cu Ka.
Peak positions follow from Bragg's law for the DFT cell and can differ from measured ones.

Principal peaks in the range 2θ = 10–80°, in order of rising 2θ:
d/Å, Position (°2θ), I (rel.), hkl
4.157, 21.37, 100, 2 1 0
3.999, 22.23, 95, 0 1 1
3.756, 23.69, 73, 2 0 1
2.750, 32.56, 59, 4 0 0
2.572, 34.88, 33, 0 0 2
1.588, 58.10, 34, 0 4 0

Cell and atoms:
abc: 10.9905 6.3565 5.1443
angles: 90.00 90.00 90.00
Space group Pnma (No. 62)
Inequivalent atoms, fractional coordinates:
Li (0.0759, 0.2500, 0.1910) x4
Li (0.1661, 0.5029, 0.8074) x8
As (0.0864, 0.7500, 0.3129) x4
O (0.0613, 0.2500, 0.7955) x4
O (0.0874, 0.7500, 0.6486) x4
O (0.1616, 0.5295, 0.2019) x8